(1)
Diffraction record for CoO4F2. The X-ray diffraction stick pattern is calculated, not measured: it uses the GGA+U geometry in Alexandria and CuKα.
Kinematic intensities with the Lorentz-polarization factor, no thermal factor.

Principal peaks in the range 15° ≤ 2θ ≤ 90°, sorted by position:
| d_spacing | Position (°2θ) | I/Imax |
| --- | --- | --- |
| 4.960 | 17.88 | 100 |
| 4.141 | 21.46 | 68 |
| 3.901 | 22.79 | 69 |
| 2.742 | 32.66 | 28 |
| 2.664 | 33.64 | 28 |
| 2.087 | 43.35 | 45 |
| 2.041 | 44.39 | 11 |
| 1.756 | 52.08 | 15 |
| 1.661 | 55.32 | 15 |
| 1.605 | 57.41 | 16 |

Structure:
```
data_CoO4F2
_cell_length_a 10.9681
_cell_length_b 5.5615
_cell_length_c 6.3172
_cell_angle_alpha 90.00
_cell_angle_beta 90.00
_cell_angle_gamma 90.00
_space_group_name_H-M_alt 'P 1'
_space_group_IT_number 1
_space_group_name_Hall 'P 1'
loop_
_atom_site_label
_atom_site_type_symbol
_atom_site_fract_x
_atom_site_fract_y
_atom_site_fract_z
Co1 Co 0.1370 0.2493 0.0000
Co2 Co 0.3630 0.2493 0.5000
Co3 Co 0.6370 0.7507 0.0000
Co4 Co 0.8630 0.7507 0.5000
O1 O 0.0175 0.7507 0.4998
O2 O 0.1408 0.0287 0.7931
O3 O 0.1406 0.4699 0.2069
O4 O 0.1929 0.2493 0.5001
O5 O 0.3071 0.2493 0.0001
O6 O 0.3592 0.0287 0.2931
O7 O 0.3594 0.4699 0.7069
O8 O 0.4825 0.7507 0.9998
O9 O 0.5175 0.2493 0.4998
O10 O 0.6406 0.5301 0.2069
O11 O 0.6408 0.9713 0.7931
O12 O 0.6929 0.7507 0.5001
O13 O 0.8071 0.7507 0.0001
O14 O 0.8594 0.5301 0.7069
O15 O 0.8592 0.9713 0.2931
O16 O 0.9825 0.2493 0.9998
F1 F 0.1464 0.0019 0.1915
F2 F 0.1465 0.4967 0.8084
F3 F 0.3536 0.0019 0.6915
F4 F 0.3535 0.4967 0.3084
F5 F 0.6465 0.5033 0.8084
F6 F 0.6464 0.9981 0.1915
F7 F 0.8535 0.5033 0.3084
F8 F 0.8536 0.9981 0.6915
```


(2)
Diffraction record for Co3OF5. The X-ray diffraction stick pattern is calculated, not measured: it uses the GGA+U geometry in Alexandria and CuKα.
Kinematic intensities with the Lorentz-polarization factor, no thermal factor.

Principal peaks in the range 15° ≤ 2θ ≤ 90°, sorted by position:
| d_spacing | Position (°2θ) | I/Imax |
| --- | --- | --- |
| 3.399 | 26.22 | 100 |
| 3.272 | 27.26 | 89 |
| 2.637 | 33.99 | 56 |
| 2.624 | 34.18 | 55 |
| 1.776 | 51.44 | 34 |
| 1.772 | 51.57 | 34 |
| 1.743 | 52.49 | 28 |
| 1.731 | 52.89 | 26 |
| 1.411 | 66.23 | 22 |
| 1.405 | 66.57 | 20 |

Structure:
```
data_Co3OF5
_cell_length_a 5.6693
_cell_length_b 5.6693
_cell_length_c 7.2930
_cell_angle_alpha 105.83
_cell_angle_beta 105.83
_cell_angle_gamma 73.67
_space_group_name_H-M_alt 'P 1'
_space_group_IT_number 1
_space_group_name_Hall 'P 1'
loop_
_atom_site_label
_atom_site_type_symbol
_atom_site_fract_x
_atom_site_fract_y
_atom_site_fract_z
Co1 Co 0.0000 0.0000 0.0000
Co2 Co 0.0000 0.0000 0.5000
Co3 Co 0.3227 0.3227 0.3495
Co4 Co 0.3361 0.3361 0.8196
Co5 Co 0.6639 0.6639 0.1804
Co6 Co 0.6773 0.6773 0.6505
O1 O 0.2297 0.2297 0.5287
O2 O 0.7703 0.7703 0.4713
F1 F 0.0295 0.6350 0.8341
F2 F 0.1021 0.1021 0.7961
F3 F 0.3080 0.6920 0.5000
F4 F 0.3650 0.9705 0.1659
F5 F 0.4274 0.4274 0.1354
F6 F 0.5726 0.5726 0.8646
F7 F 0.6350 0.0295 0.8341
F8 F 0.6920 0.3080 0.5000
F9 F 0.8979 0.8979 0.2039
F10 F 0.9705 0.3650 0.1659
```


(3)
Diffraction record for Co6O7F5. The X-ray diffraction stick pattern is calculated, not measured: it uses the GGA+U geometry in Alexandria and CuKα.
Kinematic intensities with the Lorentz-polarization factor, no thermal factor.

Principal peaks in the range 15° ≤ 2θ ≤ 90°, sorted by position:
| d_spacing | Position (°2θ) | I/Imax |
| --- | --- | --- |
| 3.350 | 26.61 | 98 |
| 3.081 | 28.98 | 85 |
| 2.490 | 36.06 | 100 |
| 2.226 | 40.52 | 15 |
| 1.716 | 53.38 | 58 |
| 1.675 | 54.81 | 16 |
| 1.640 | 56.08 | 48 |
| 1.490 | 62.32 | 15 |
| 1.350 | 69.67 | 18 |
| 1.347 | 69.83 | 18 |

Structure:
```
data_Co6O7F5
_cell_length_a 4.5457
_cell_length_b 8.9396
_cell_length_c 4.5572
_cell_angle_alpha 90.00
_cell_angle_beta 94.78
_cell_angle_gamma 90.00
_space_group_name_H-M_alt 'P 1'
_space_group_IT_number 1
_space_group_name_Hall 'P 1'
loop_
_atom_site_label
_atom_site_type_symbol
_atom_site_fract_x
_atom_site_fract_y
_atom_site_fract_z
Co1 Co 0.0000 0.0000 0.0000
Co2 Co 0.0284 0.3290 0.9657
Co3 Co 0.0284 0.6710 0.9657
Co4 Co 0.4966 0.1743 0.5033
Co5 Co 0.4966 0.8257 0.5033
Co6 Co 0.5283 0.5000 0.5251
O1 O 0.1999 0.1669 0.1835
O2 O 0.1999 0.8331 0.1835
O3 O 0.3340 0.3421 0.6805
O4 O 0.3340 0.6579 0.6805
O5 O 0.8128 0.1664 0.7994
O6 O 0.8128 0.8336 0.7994
O7 O 0.8313 0.5000 0.7949
F1 F 0.2297 0.5000 0.1878
F2 F 0.2986 0.0000 0.6951
F3 F 0.6859 0.0000 0.3119
F4 F 0.7183 0.3458 0.3003
F5 F 0.7183 0.6542 0.3003
```


(4)
Diffraction record for Co6O5F7. The X-ray diffraction stick pattern is calculated, not measured: it uses the GGA+U geometry in Alexandria and CuKα.
Kinematic intensities with the Lorentz-polarization factor, no thermal factor.

Principal peaks in the range 15° ≤ 2θ ≤ 90°, sorted by position:
| d_spacing | Position (°2θ) | I/Imax |
| --- | --- | --- |
| 3.301 | 27.01 | 100 |
| 3.182 | 28.04 | 91 |
| 2.564 | 34.99 | 26 |
| 2.556 | 35.10 | 60 |
| 2.550 | 35.20 | 29 |
| 2.213 | 40.77 | 16 |
| 1.724 | 53.14 | 31 |
| 1.686 | 54.41 | 27 |
| 1.650 | 55.69 | 16 |
| 1.541 | 60.06 | 19 |

Structure:
```
data_Co6O5F7
_cell_length_a 4.5663
_cell_length_b 5.5290
_cell_length_c 7.7062
_cell_angle_alpha 86.96
_cell_angle_beta 88.59
_cell_angle_gamma 88.35
_space_group_name_H-M_alt 'P 1'
_space_group_IT_number 1
_space_group_name_Hall 'P 1'
loop_
_atom_site_label
_atom_site_type_symbol
_atom_site_fract_x
_atom_site_fract_y
_atom_site_fract_z
Co1 Co 0.0000 0.0000 0.0000
Co2 Co 0.0035 0.6344 0.3042
Co3 Co 0.0167 0.3162 0.6372
Co4 Co 0.5167 0.8193 0.6530
Co5 Co 0.5421 0.1637 0.3281
Co6 Co 0.5826 0.4909 0.9756
O1 O 0.3366 0.1138 0.5528
O2 O 0.7242 0.5368 0.7328
O3 O 0.7325 0.1962 0.1011
O4 O 0.8341 0.7165 0.0922
O5 O 0.8368 0.3550 0.4156
F1 F 0.2007 0.2860 0.8797
F2 F 0.2333 0.6163 0.5335
F3 F 0.2520 0.9579 0.2279
F4 F 0.3052 0.7953 0.8860
F5 F 0.3342 0.4627 0.2073
F6 F 0.7512 0.8562 0.4295
F7 F 0.8114 0.0269 0.7600
```


(5)
Diffraction record for Co3OF5. The X-ray diffraction stick pattern is calculated, not measured: it uses the GGA+U geometry in Alexandria and CuKα.
Kinematic intensities with the Lorentz-polarization factor, no thermal factor.

Principal peaks in the range 15° ≤ 2θ ≤ 90°, sorted by position:
| d_spacing | Position (°2θ) | I/Imax |
| --- | --- | --- |
| 3.323 | 26.83 | 100 |
| 3.301 | 27.01 | 97 |
| 2.638 | 33.98 | 59 |
| 2.619 | 34.24 | 28 |
| 2.606 | 34.41 | 29 |
| 1.762 | 51.88 | 33 |
| 1.746 | 52.42 | 31 |
| 1.736 | 52.73 | 31 |
| 1.585 | 58.21 | 20 |
| 1.406 | 66.48 | 22 |

Structure:
```
data_Co3OF5
_cell_length_a 5.6793
_cell_length_b 5.6883
_cell_length_c 7.3216
_cell_angle_alpha 73.16
_cell_angle_beta 72.76
_cell_angle_gamma 71.01
_space_group_name_H-M_alt 'P 1'
_space_group_IT_number 1
_space_group_name_Hall 'P 1'
loop_
_atom_site_label
_atom_site_type_symbol
_atom_site_fract_x
_atom_site_fract_y
_atom_site_fract_z
Co1 Co 0.0000 0.0000 0.0000
Co2 Co 0.0116 0.0184 0.4987
Co3 Co 0.3265 0.3387 0.1704
Co4 Co 0.3545 0.3502 0.6692
Co5 Co 0.6735 0.6633 0.8198
Co6 Co 0.7008 0.6381 0.3489
O1 O 0.5913 0.5699 0.6149
O2 O 0.9726 0.3760 0.3357
F1 F 0.0452 0.6530 0.6697
F2 F 0.1176 0.1148 0.7015
F3 F 0.2332 0.2320 0.9702
F4 F 0.3062 0.6947 0.9904
F5 F 0.3910 0.9581 0.3312
F6 F 0.4449 0.4389 0.3621
F7 F 0.6512 0.0340 0.6720
F8 F 0.6933 0.3024 0.9976
F9 F 0.7668 0.7545 0.0479
F10 F 0.9070 0.9007 0.3021
```


(6)
Diffraction record for Co3OF5. The X-ray diffraction stick pattern is calculated, not measured: it uses the GGA+U geometry in Alexandria and CuKα.
Kinematic intensities with the Lorentz-polarization factor, no thermal factor.

Principal peaks in the range 15° ≤ 2θ ≤ 90°, sorted by position:
| d_spacing | Position (°2θ) | I/Imax |
| --- | --- | --- |
| 3.329 | 26.78 | 100 |
| 2.549 | 35.21 | 56 |
| 2.242 | 40.23 | 18 |
| 1.731 | 52.88 | 29 |
| 1.728 | 53.01 | 31 |
| 1.665 | 55.18 | 18 |
| 1.516 | 61.14 | 9 |
| 1.397 | 67.01 | 11 |
| 1.391 | 67.32 | 9 |
| 1.380 | 67.95 | 12 |

Structure:
```
data_Co3OF5
_cell_length_a 3.0317
_cell_length_b 4.6958
_cell_length_c 14.1621
_cell_angle_alpha 90.00
_cell_angle_beta 90.00
_cell_angle_gamma 90.00
_space_group_name_H-M_alt 'P 1'
_space_group_IT_number 1
_space_group_name_Hall 'P 1'
loop_
_atom_site_label
_atom_site_type_symbol
_atom_site_fract_x
_atom_site_fract_y
_atom_site_fract_z
Co1 Co 0.0000 0.2237 0.0000
Co2 Co 0.0000 0.2314 0.3481
Co3 Co 0.0000 0.2644 0.6715
Co4 Co 0.5000 0.7356 0.1715
Co5 Co 0.5000 0.7686 0.8481
Co6 Co 0.5000 0.7763 0.5000
O1 O 0.0000 0.9536 0.4459
O2 O 0.5000 0.0464 0.9459
F1 F 0.0000 0.5227 0.9067
F2 F 0.0000 0.5295 0.2370
F3 F 0.0000 0.5753 0.5658
F4 F 0.0000 0.9463 0.1029
F5 F 0.0000 0.9583 0.7729
F6 F 0.5000 0.0417 0.2729
F7 F 0.5000 0.0537 0.6029
F8 F 0.5000 0.4247 0.0658
F9 F 0.5000 0.4705 0.7370
F10 F 0.5000 0.4773 0.4067
```